This entry pairs a crystal structure of Sc8AlC4 with its calculated XRD peak list. Radiation: Cu Ka. Structure: a DFT-relaxed cell (PBE, Alexandria).
Lines closer than 0.1° are merged.

Principal peaks in the range 10 to 90 degrees two-theta, by angle:
2θ 10.87, I 12, hkl 1 1 0
2θ 33.01, I 35, hkl 3 3 0
2θ 34.86, I 21, hkl 4 2 0
2θ 35.33, I 100, hkl 3 0 1
2θ 39.93, I 16, hkl 1 5 0
2θ 41.92, I 11, hkl 4 1 1
2θ 47.38, I 13, hkl 6 0 0
2θ 54.11, I 10, hkl 0 0 2
2θ 58.08, I 22, hkl 4 5 1
2θ 60.47, I 12, hkl 6 3 1

Atomic structure:
Unit cell a=11.511 b=11.511 c=3.390 alpha=90.00 beta=90.00 gamma=90.00
Space group I4/m (No. 87)
Asymmetric unit:
Sc 0.044 0.340 0.000 (multiplicity 8)
Sc 0.149 0.812 0.500 (multiplicity 8)
Al 0.000 0.000 0.000 (multiplicity 2)
C 0.153 0.675 0.000 (multiplicity 8)